# Zn3TeO6
Simulated powder diffraction line list, Cu Kα (weighted mean of Kα1 and Kα2). Input: a structure optimized by DFT (GGA-PBE).
Intensities are scaled so that the largest is 100.

Main lines, by angle (2θ = 10–80°):
- d 4.395, rel. 34, (3 1 0)
- d 3.143, rel. 42, (4 0 -2)
- d 3.075, rel. 56, (2 2 2)
- d 2.799, rel. 47, (3 1 -3)
- d 2.762, rel. 47, (4 2 1)
- d 2.574, rel. 100, (1 3 -2)

Crystal structure
abc: 15.125 8.976 10.541
angles: 90.00 92.83 90.00
Space group C2/c (No. 15)
Unique sites:
Zn 0.000 0.201 0.250 x4
Zn 0.027 0.350 0.552 x8
Zn 0.136 0.137 0.757 x8
Zn 0.162 0.264 0.059 x8
Zn 0.204 0.139 0.425 x8
Te 0.000 0.000 0.000 x4
Te 0.164 0.498 0.306 x8
O 0.070 0.023 0.158 x8
O 0.071 0.161 0.929 x8
O 0.072 0.498 0.928 x8
O 0.073 0.164 0.441 x8
O 0.102 0.343 0.205 x8
O 0.110 0.342 0.701 x8
O 0.224 0.345 0.905 x8
O 0.237 0.350 0.400 x8
O 0.241 0.018 0.817 x8